(1)
The following is a simulated X-ray powder pattern of PuTl2Co2O6. It was derived from a DFT-relaxed cell (PBE+U, Alexandria), using Cu Ka.

Atomic structure:
Lattice parameters (Å, degrees): 5.271 9.139 6.804 90.00 90.55 90.00
Space group C2/m (No. 12)
Asymmetric unit:
1 Pu 0.000 0.000 0.000 (multiplicity 2)
2 Tl 0.000 0.333 0.500 (multiplicity 4)
3 Co 0.000 0.333 0.000 (multiplicity 4)
4 O 0.139 0.500 0.846 (multiplicity 4)
5 O 0.178 0.180 0.846 (multiplicity 8)

The 10 most intense peaks (2θ = 10–90°), by angle:
h k l  two_theta  I (rel.)
0 2 1  23.41  89.3
1 1 1  23.56  44.1
0 0 2  26.20  67.1
2 0 0  34.00  100.0
0 4 1  41.66  22.6
1 3 -2  43.29  65.9
1 3 2  43.52  33.2
2 0 2  43.65  24.0
3 1 -1  54.78  14.5
3 3 0  60.85  25.9

=====

(2)
The following is a simulated X-ray powder pattern of Rb4Co2O5. It was derived from a DFT-relaxed cell (PBE+U, Alexandria), using Cu Ka.

Atomic structure:
Lattice parameters (Å, degrees): 10.172 6.722 8.051 90.00 106.42 90.00
Space group Cm (No. 8)
Asymmetric unit:
1 Rb 0.000 0.000 0.000 (multiplicity 2)
2 Rb 0.118 0.500 0.738 (multiplicity 2)
3 Rb 0.237 0.000 0.417 (multiplicity 2)
4 Rb 0.366 0.000 0.967 (multiplicity 2)
5 Co 0.267 0.500 0.191 (multiplicity 2)
6 Co 0.397 0.500 0.574 (multiplicity 2)
7 O 0.202 0.277 0.089 (multiplicity 4)
8 O 0.379 0.278 0.680 (multiplicity 4)
9 O 0.434 0.500 0.362 (multiplicity 2)

The 10 most intense peaks (2θ = 10–90°), by angle:
h k l  two_theta  I (rel.)
2 0 0  18.17  21.4
1 1 -2  25.93  22.8
0 2 0  26.52  74.7
3 1 -1  29.76  100.0
1 1 2  30.27  83.6
3 1 0  30.53  21.8
2 0 -3  34.49  27.4
2 2 1  36.19  27.6
2 2 -2  36.80  29.1
2 2 -3  44.03  23.1

=====

(3)
The following is a simulated X-ray powder pattern of Rb5CoO4. It was derived from a DFT-relaxed cell (PBE+U, Alexandria), using Cu Ka.

Atomic structure:
Lattice parameters (Å, degrees): 7.915 8.772 6.725 90.00 90.00 90.00
Space group Pmmn (No. 59, origin choice 2)
Asymmetric unit:
1 Rb 0.008 0.058 0.236 (multiplicity 8)
2 Rb 0.250 0.750 0.357 (multiplicity 2)
3 Co 0.250 0.250 0.704 (multiplicity 2)
4 O 0.049 0.250 0.867 (multiplicity 4)
5 O 0.250 0.068 0.541 (multiplicity 4)

The 10 most intense peaks (2θ = 10–90°), by angle:
h k l  two_theta  I (rel.)
2 0 0  22.47  24.4
0 0 2  26.51  67.9
2 1 1  28.07  84.7
2 2 0  30.42  80.4
0 3 1  33.42  100.0
2 0 2  35.02  38.7
2 2 2  40.78  65.4
4 0 0  45.86  27.7
4 3 1  57.92  36.2
2 5 1  59.23  36.9

=====

(4)
The following is a simulated X-ray powder pattern of Rb3CoO3. It was derived from a DFT-relaxed cell (PBE+U, Alexandria), using Cu Ka.

Atomic structure:
Lattice parameters (Å, degrees): 7.431 5.869 7.441 90.00 101.67 90.00
Space group P2_1/m (No. 11)
Asymmetric unit:
1 Rb 0.089 0.250 0.319 (multiplicity 2)
2 Rb 0.319 0.750 0.088 (multiplicity 2)
3 Rb 0.394 0.750 0.605 (multiplicity 2)
4 Co 0.206 0.250 0.793 (multiplicity 2)
5 O 0.032 0.750 0.306 (multiplicity 2)
6 O 0.305 0.250 0.031 (multiplicity 2)
7 O 0.363 0.250 0.637 (multiplicity 2)

The 10 most intense peaks (2θ = 10–90°), by angle:
h k l  two_theta  I (rel.)
2 1 0  28.86  100.0
1 1 -2  29.36  39.0
1 0 2  29.56  31.4
0 2 0  30.46  59.7
2 0 -2  31.02  28.7
1 2 2  42.97  21.3
2 2 -2  44.04  20.6
1 0 -4  49.06  17.8
2 3 0  53.15  18.3
1 2 -4  58.86  20.1

=====

(5)
The following is a simulated X-ray powder pattern of Rb6CoO4. It was derived from a DFT-relaxed cell (PBE+U, Alexandria), using Cu Ka.

Atomic structure:
Lattice parameters (Å, degrees): 9.0719 9.0719 6.9505 90.00 90.00 120.00
Space group P6_3mc (No. 186)
Asymmetric unit:
1 Rb 0.0758 0.5379 0.0000 (multiplicity 6)
2 Rb 0.1457 0.2915 0.3380 (multiplicity 6)
3 Co 0.3333 0.6667 0.6090 (multiplicity 2)
4 O 0.2069 0.4138 0.7069 (multiplicity 6)
5 O 0.3333 0.6667 0.3160 (multiplicity 2)

The 10 most intense peaks (2θ = 10–90°), by angle:
h k l  two_theta  I (rel.)
2 0 1  26.06  50.8
1 0 2  28.08  31.6
2 1 1  32.80  100.0
2 0 2  34.46  57.3
3 0 1  36.67  24.9
2 2 0  39.74  40.9
3 0 3  52.75  20.2
3 2 2  57.61  21.3
2 0 4  58.06  18.2
5 0 1  60.40  21.0

=====

(6)
The following is a simulated X-ray powder pattern of Rb5CoO4. It was derived from a DFT-relaxed cell (PBE+U, Alexandria), using Cu Ka.

Atomic structure:
Lattice parameters (Å, degrees): 14.173 4.308 9.424 90.00 111.06 90.00
Space group C2/m (No. 12)
Asymmetric unit:
1 Rb 0.000 0.000 0.000 (multiplicity 2)
2 Rb 0.152 0.500 0.364 (multiplicity 4)
3 Rb 0.203 0.500 0.821 (multiplicity 4)
4 Co 0.000 0.000 0.500 (multiplicity 2)
5 O 0.129 0.000 0.543 (multiplicity 4)
6 O 0.143 0.500 0.070 (multiplicity 4)

The 10 most intense peaks (2θ = 10–90°), by angle:
h k l  two_theta  I (rel.)
4 0 -1  25.14  9.0
4 0 -2  27.31  14.9
1 1 -2  28.08  100.0
3 1 0  28.98  61.8
2 0 -4  38.22  13.1
0 2 0  41.95  16.7
5 1 -3  42.44  11.7
1 1 4  49.16  14.9
5 1 2  50.83  14.8
2 2 2  51.26  11.4

=====

(7)
The following is a simulated X-ray powder pattern of Rb2CoRhO4. It was derived from a DFT-relaxed cell (PBE+U, Alexandria), using Cu Ka.

Atomic structure:
Lattice parameters (Å, degrees): 5.169 12.738 20.095 90.00 90.00 90.00
Space group Fddd (No. 70, origin choice 2)
Asymmetric unit:
1 Rb 0.125 0.125 0.302 (multiplicity 16)
2 Co 0.125 0.125 0.125 (multiplicity 8)
3 Rh 0.125 0.125 0.625 (multiplicity 8)
4 O 0.116 0.275 0.410 (multiplicity 32)

The 10 most intense peaks (2θ = 10–90°), by angle:
h k l  two_theta  I (rel.)
0 2 2  16.48  28.7
0 0 4  17.65  48.5
1 1 3  22.82  62.0
0 4 0  28.02  44.1
0 2 6  30.15  100.0
1 3 3  30.33  57.1
2 2 0  37.55  50.4
1 5 3  41.78  28.5
2 0 6  44.27  29.8
2 4 6  53.21  40.1

=====

(8)
The following is a simulated X-ray powder pattern of RbCoS2O6. It was derived from a DFT-relaxed cell (PBE+U, Alexandria), using Cu Ka.

Atomic structure:
Lattice parameters (Å, degrees): 5.1682 5.1682 20.6469 90.00 90.00 120.00
Space group R-3 (No. 148, hexagonal axes)
Asymmetric unit:
1 Rb 0.0000 0.0000 0.0000 (multiplicity 3)
2 Co 0.0000 0.0000 0.5000 (multiplicity 3)
3 S 0.0000 0.0000 0.2482 (multiplicity 6)
4 O 0.0301 0.6106 0.8923 (multiplicity 18)

The 10 most intense peaks (2θ = 10–90°), by angle:
h k l  two_theta  I (rel.)
0 1 2  21.64  10.2
1 0 4  26.36  100.0
1 1 0  34.72  24.4
0 1 8  40.34  22.6
1 1 6  43.81  11.7
0 2 4  44.11  10.7
2 0 8  54.25  11.9
3 -1 4  57.31  15.7
2 -1 12  65.14  12.2
3 -2 8  66.03  9.3

=====

(9)
The following is a simulated X-ray powder pattern of Rb4Sm3CoO8. It was derived from a DFT-relaxed cell (PBE+U, Alexandria), using Cu Ka.

Atomic structure:
Lattice parameters (Å, degrees): 12.027 7.171 7.709 90.00 121.60 90.00
Space group C2/m (No. 12)
Asymmetric unit:
1 Rb 0.000 0.000 0.000 (multiplicity 2)
2 Rb 0.000 0.500 0.000 (multiplicity 2)
3 Rb 0.250 0.250 0.000 (multiplicity 4)
4 Sm 0.000 0.000 0.500 (multiplicity 2)
5 Sm 0.250 0.250 0.500 (multiplicity 4)
6 Co 0.000 0.500 0.500 (multiplicity 2)
7 O 0.022 0.243 0.311 (multiplicity 8)
8 O 0.189 0.500 0.653 (multiplicity 4)
9 O 0.230 0.000 0.680 (multiplicity 4)

The 10 most intense peaks (2θ = 10–90°), by angle:
h k l  two_theta  I (rel.)
0 0 1  13.49  26.0
0 0 2  27.16  59.2
2 2 0  30.43  78.0
4 0 -2  31.06  36.2
2 2 -2  34.31  100.0
4 0 0  35.04  45.2
2 2 2  47.33  33.4
4 0 -4  47.63  17.4
6 2 -2  52.29  28.6
2 2 -4  55.30  18.7

=====

(10)
The following is a simulated X-ray powder pattern of RbYCoO3. It was derived from a DFT-relaxed cell (PBE+U, Alexandria), using Cu Ka.

Atomic structure:
Lattice parameters (Å, degrees): 7.797 3.564 8.628 90.00 108.12 90.00
Space group P2_1/m (No. 11)
Asymmetric unit:
1 Rb 0.201 0.250 0.204 (multiplicity 2)
2 Y 0.340 0.750 0.857 (multiplicity 2)
3 Co 0.068 0.250 0.618 (multiplicity 2)
4 O 0.142 0.250 0.852 (multiplicity 2)
5 O 0.163 0.750 0.570 (multiplicity 2)
6 O 0.467 0.750 0.128 (multiplicity 2)

The 10 most intense peaks (2θ = 10–90°), by angle:
h k l  two_theta  I (rel.)
0 0 1  10.79  31.2
1 0 -1  13.38  100.0
2 0 -2  26.95  93.2
0 1 1  27.28  35.1
0 1 2  33.31  55.2
2 1 -1  34.26  87.4
2 1 0  34.93  74.0
1 0 3  38.49  26.3
2 1 -4  50.63  31.3
0 2 0  51.27  27.3

=====

(11)
The following is a simulated X-ray powder pattern of CoReO4. It was derived from a DFT-relaxed cell (PBE+U, Alexandria), using Cu Ka.

Atomic structure:
Lattice parameters (Å, degrees): 6.342 6.648 2.864 90.00 90.00 90.00
Space group Cmmm (No. 65)
Asymmetric unit:
1 Co 0.000 0.000 0.000 (multiplicity 2)
2 Re 0.000 0.500 0.500 (multiplicity 2)
3 O 0.000 0.290 0.000 (multiplicity 4)
4 O 0.202 0.000 0.500 (multiplicity 4)

The 10 most intense peaks (2θ = 10–90°), by angle:
h k l  two_theta  I (rel.)
1 1 0  19.34  67.3
0 2 0  26.82  70.1
2 0 0  28.14  63.0
1 1 1  37.00  100.0
2 2 0  39.27  29.7
0 2 1  41.62  22.8
1 3 1  54.30  41.6
3 1 1  55.79  39.5
0 0 2  65.17  17.7
3 3 1  69.69  23.4

=====

(12)
The following is a simulated X-ray powder pattern of CoRe2O12. It was derived from a DFT-relaxed cell (PBE+U, Alexandria), using Cu Ka.

Atomic structure:
Lattice parameters (Å, degrees): 6.150 6.720 7.531 113.95 95.22 110.46
Space group P-1 (No. 2)
Asymmetric unit:
1 Co 0.000 0.000 0.000 (multiplicity 1)
2 Re 0.209 0.619 0.313 (multiplicity 2)
3 O 0.036 0.783 0.338 (multiplicity 2)
4 O 0.044 0.326 0.090 (multiplicity 2)
5 O 0.125 0.082 0.257 (multiplicity 2)
6 O 0.270 0.601 0.534 (multiplicity 2)
7 O 0.310 0.084 0.019 (multiplicity 2)
8 O 0.480 0.772 0.279 (multiplicity 2)

The 10 most intense peaks (2θ = 10–90°), by angle:
h k l  two_theta  I (rel.)
1 0 0  15.96  55.9
1 -1 0  17.13  38.8
1 0 -1  17.85  100.0
1 -1 1  19.74  72.4
1 0 1  23.56  35.1
0 1 -2  23.97  63.8
1 1 -1  24.36  30.0
0 1 1  25.28  57.3
0 2 -1  28.39  31.1
1 -2 0  29.20  55.9

=====

Which formula does entry 12 have?
CoRe2O12

=====

Number 4 is which compound?
Rb3CoO3